Structure and computed powder XRD pattern of Ba3NaGa2S6 (a DFT-relaxed cell (GGA-PBE, Alexandria); Cu Ka).
Lines closer than 0.1° are merged.

Cell and atoms:
```
Ba3NaGa2S6
1.0
7.385 0.000 0.000
-3.693 6.396 0.000
0.000 0.000 7.878
Ba Na Ga S
3 1 2 6
Cartesian
0.000 0.000 0.000
0.000 4.264 4.903
3.693 2.132 2.975
0.000 0.000 3.939
0.000 4.264 1.470
3.693 2.132 6.408
0.000 2.180 2.267
-1.805 5.306 2.267
1.888 1.090 5.611
1.805 5.306 2.267
5.497 1.090 5.611
3.693 4.216 5.611
```

Principal peaks in the range 10° ≤ 2θ ≤ 90°, sorted by position:
Position (°2θ)  d [Å]  intensity  hkl
17.86  4.965  46  0 1 1
24.10  3.693  100  1 1 0
26.58  3.354  74  0 1 2
30.16  2.963  38  0 2 1
36.18  2.483  68  2 0 2
42.40  2.132  23  3 0 0
43.95  2.060  37  1 2 2
49.36  1.846  32  2 2 0